1.
# NaCu4S4
Computed powder XRD pattern, Cu Ka. Input: a crystal structure in Alexandria, relaxed with GGA-PBE.

Top 8 peaks for 2θ from 5° to 70°, low angle first:
| 2θ/deg | d_spacing | intensity |
| --- | --- | --- |
| 14.5 | 6.099 | 29 |
| 30.7 | 2.912 | 100 |
| 34.9 | 2.569 | 22 |
| 40.2 | 2.244 | 28 |
| 47.5 | 1.914 | 64 |
| 52.8 | 1.733 | 15 |
| 57.6 | 1.599 | 15 |
| 61.6 | 1.506 | 17 |

Structure:
```
NaCu4S4
1.0
3.8274 0.0000 0.0000
-1.9137 3.3147 0.0000
0.0000 0.0000 12.1971
Na Cu S
1 4 4
Direct
0.0000 0.0000 0.0000
0.3333 0.6667 0.1874
0.3333 0.6667 0.6475
0.6667 0.3333 0.3525
0.6667 0.3333 0.8126
0.0000 0.0000 0.4134
0.0000 0.0000 0.5866
0.3333 0.6667 0.8400
0.6667 0.3333 0.1600
```

=====

2.
# Na3Cu4S4
Computed powder XRD pattern, Cu Ka. Input: a crystal structure in Alexandria, relaxed with GGA-PBE.

Top 8 peaks for 2θ from 5° to 70°, low angle first:
| 2θ/deg | d_spacing | intensity |
| --- | --- | --- |
| 12.2 | 7.260 | 71 |
| 13.5 | 6.559 | 100 |
| 36.5 | 2.460 | 30 |
| 36.7 | 2.449 | 23 |
| 37.2 | 2.418 | 25 |
| 39.2 | 2.300 | 46 |
| 46.1 | 1.970 | 20 |
| 49.0 | 1.859 | 20 |

Structure:
```
Na3Cu4S4
1.0
7.3523 0.0000 0.0000
0.0000 14.5195 0.0000
0.0000 0.0000 3.7188
Na Cu S
6 8 8
Direct
0.0000 0.0000 0.0000
0.0362 0.2380 0.5000
0.4638 0.7380 0.5000
0.5000 0.5000 0.0000
0.5362 0.2620 0.5000
0.9638 0.7620 0.5000
0.0887 0.4153 0.0000
0.1659 0.5552 0.5000
0.3341 0.0552 0.5000
0.4113 0.9153 0.0000
0.5887 0.0847 0.0000
0.6659 0.9448 0.5000
0.8341 0.4448 0.5000
0.9113 0.5847 0.0000
0.2009 0.6475 0.0000
0.2341 0.9047 0.5000
0.2659 0.4047 0.5000
0.2991 0.1475 0.0000
0.7009 0.8525 0.0000
0.7341 0.5953 0.5000
0.7659 0.0953 0.5000
0.7991 0.3525 0.0000
```

=====

3.
# Na3CuS3
Computed powder XRD pattern, Cu Ka. Input: a crystal structure in Alexandria, relaxed with GGA-PBE.

Top 8 peaks for 2θ from 5° to 70°, low angle first:
| 2θ/deg | d_spacing | intensity |
| --- | --- | --- |
| 12.2 | 7.273 | 55 |
| 19.9 | 4.468 | 100 |
| 31.6 | 2.831 | 55 |
| 32.6 | 2.749 | 45 |
| 36.3 | 2.473 | 19 |
| 37.1 | 2.424 | 40 |
| 46.0 | 1.972 | 32 |
| 49.5 | 1.841 | 33 |

Structure:
```
Na3CuS3
1.0
8.3985 0.0000 0.0000
-4.1992 7.2733 0.0000
0.0000 0.0000 5.6620
Na Cu S
6 2 6
Direct
0.0721 0.7094 0.2500
0.2906 0.3627 0.2500
0.3627 0.0721 0.7500
0.6373 0.9279 0.2500
0.7094 0.6373 0.7500
0.9279 0.2906 0.7500
0.3333 0.6667 0.7500
0.6667 0.3333 0.2500
0.0903 0.6950 0.7500
0.3050 0.3953 0.7500
0.3953 0.0903 0.2500
0.6047 0.9097 0.7500
0.6950 0.6047 0.2500
0.9097 0.3050 0.2500
```

=====

4.
# NaCu5S3
Computed powder XRD pattern, Cu Ka. Input: a crystal structure in Alexandria, relaxed with GGA-PBE.

Top 8 peaks for 2θ from 5° to 70°, low angle first:
| 2θ/deg | d_spacing | intensity |
| --- | --- | --- |
| 14.2 | 6.240 | 86 |
| 19.1 | 4.650 | 57 |
| 27.9 | 3.201 | 39 |
| 31.4 | 2.848 | 80 |
| 41.5 | 2.178 | 74 |
| 45.5 | 1.993 | 40 |
| 46.5 | 1.954 | 100 |
| 51.1 | 1.786 | 68 |

Structure:
```
NaCu5S3
1.0
7.2056 0.0000 0.0000
-3.6028 6.2402 0.0000
0.0000 0.0000 6.9735
Na Cu S
2 10 6
Direct
0.0000 0.0000 0.2500
0.0000 0.0000 0.7500
0.2167 0.4334 0.2500
0.2167 0.7833 0.2500
0.3333 0.6667 0.5544
0.3333 0.6667 0.9456
0.4334 0.2167 0.7500
0.5666 0.7833 0.2500
0.6667 0.3333 0.0544
0.6667 0.3333 0.4456
0.7833 0.2167 0.7500
0.7833 0.5666 0.7500
0.0000 0.3466 0.5000
0.0000 0.6534 0.0000
0.3466 0.0000 0.5000
0.3466 0.3466 0.0000
0.6534 0.0000 0.0000
0.6534 0.6534 0.5000
```

=====

5.
# Na2CuSbS4
Computed powder XRD pattern, Cu Ka. Input: a crystal structure in Alexandria, relaxed with GGA-PBE.

Top 8 peaks for 2θ from 5° to 70°, low angle first:
| 2θ/deg | d_spacing | intensity |
| --- | --- | --- |
| 17.0 | 5.224 | 100 |
| 24.1 | 3.694 | 38 |
| 30.5 | 2.928 | 40 |
| 34.3 | 2.612 | 47 |
| 37.5 | 2.401 | 91 |
| 45.0 | 2.013 | 21 |
| 48.5 | 1.878 | 35 |
| 57.8 | 1.594 | 20 |

Structure:
```
Na2CuSbS4
1.0
-3.6940 3.6940 3.1590
3.6940 -3.6940 3.1590
3.6940 3.6940 -3.1590
Na Cu Sb S
2 1 1 4
Direct
0.0000 0.5000 0.5000
0.5000 0.0000 0.5000
0.0000 0.0000 0.0000
0.5000 0.5000 0.0000
0.0797 0.0797 0.6543
0.4254 0.4254 0.3457
0.5746 0.9203 0.0000
0.9203 0.5746 0.0000
```

=====

6.
# Na2CuSiS4
Computed powder XRD pattern, Cu Ka. Input: a crystal structure in Alexandria, relaxed with GGA-PBE.

Top 8 peaks for 2θ from 5° to 70°, low angle first:
| 2θ/deg | d_spacing | intensity |
| --- | --- | --- |
| 17.5 | 5.077 | 71 |
| 24.8 | 3.590 | 28 |
| 31.4 | 2.847 | 100 |
| 35.4 | 2.539 | 45 |
| 38.5 | 2.336 | 95 |
| 49.9 | 1.827 | 27 |
| 57.4 | 1.606 | 22 |
| 59.6 | 1.550 | 28 |

Structure:
```
Na2CuSiS4
1.0
-3.5900 3.5900 3.0764
3.5900 -3.5900 3.0764
3.5900 3.5900 -3.0764
Na Cu Si S
2 1 1 4
Direct
0.0000 0.5000 0.5000
0.5000 0.0000 0.5000
0.0000 0.0000 0.0000
0.5000 0.5000 0.0000
0.1148 0.1148 0.6762
0.4386 0.4386 0.3238
0.5614 0.8852 0.0000
0.8852 0.5614 0.0000
```

=====

7.
# Na3CuSn3S8
Computed powder XRD pattern, Cu Ka. Input: a crystal structure in Alexandria, relaxed with GGA-PBE.

Top 8 peaks for 2θ from 5° to 70°, low angle first:
| 2θ/deg | d_spacing | intensity |
| --- | --- | --- |
| 12.9 | 6.865 | 96 |
| 27.9 | 3.202 | 29 |
| 32.6 | 2.743 | 100 |
| 41.4 | 2.179 | 23 |
| 45.0 | 2.016 | 35 |
| 48.6 | 1.872 | 32 |
| 50.5 | 1.806 | 18 |
| 59.8 | 1.546 | 16 |

Structure:
```
Na3CuSn3S8
1.0
3.7431 2.1611 6.8650
-3.7431 2.1611 6.8650
0.0000 -4.3222 6.8650
Na Cu Sn S
3 1 3 8
Direct
0.0000 0.5000 0.5000
0.5000 0.0000 0.5000
0.5000 0.5000 0.0000
0.5000 0.5000 0.5000
0.0000 0.0000 0.5000
0.0000 0.5000 0.0000
0.5000 0.0000 0.0000
0.2413 0.7317 0.7317
0.2423 0.2423 0.2423
0.2683 0.2683 0.7587
0.2683 0.7587 0.2683
0.7317 0.2413 0.7317
0.7317 0.7317 0.2413
0.7577 0.7577 0.7577
0.7587 0.2683 0.2683
```

=====

8.
# NaThCu2S4
Computed powder XRD pattern, Cu Ka. Input: a crystal structure in Alexandria, relaxed with GGA-PBE.

Top 8 peaks for 2θ from 5° to 70°, low angle first:
| 2θ/deg | d_spacing | intensity |
| --- | --- | --- |
| 18.2 | 4.874 | 95 |
| 27.1 | 3.290 | 31 |
| 31.3 | 2.861 | 100 |
| 32.8 | 2.727 | 48 |
| 36.9 | 2.437 | 24 |
| 38.7 | 2.326 | 49 |
| 50.6 | 1.805 | 54 |
| 65.2 | 1.430 | 20 |

Structure:
```
NaThCu2S4
1.0
-3.2899 3.2899 3.6277
3.2899 -3.2899 3.6277
3.2899 3.2899 -3.6277
Na Th Cu S
1 1 2 4
Direct
0.0000 0.0000 0.0000
0.5000 0.5000 0.0000
0.2500 0.7500 0.5000
0.7500 0.2500 0.5000
0.0118 0.0118 0.5382
0.4736 0.4736 0.4618
0.5264 0.9882 0.0000
0.9882 0.5264 0.0000
```

=====

> Which formula does entry 6 have?

Na2CuSiS4